Structure and computed powder diffractogram of CeMn8Fe4 (a structure optimized by DFT (GGA-PBE); Cu Kα, 1.54184 Å).
Kinematic intensities with the Lorentz-polarization factor, no thermal factor.

Principal peaks in the range 2θ = 5–70°, sorted by position:
| two_theta | intensity |
| --- | --- |
| 30.4 | 25 |
| 34.0 | 9 |
| 37.4 | 28 |
| 37.7 | 12 |
| 43.4 | 100 |
| 43.7 | 48 |
| 48.8 | 15 |
| 49.1 | 17 |
| 63.1 | 11 |
| 63.3 | 7 |

Cell and atoms:
```
CeMn8Fe4
1.0
-4.1722 4.1722 2.3869
4.1722 -4.1722 2.3869
4.1722 4.1722 -2.3869
Ce Mn Fe
1 8 4
Direct
0.0000 0.0000 0.0000 Ce
0.0000 0.0000 0.5000 Mn
0.0000 0.5000 0.0000 Mn
0.2667 0.5000 0.7667 Mn
0.5000 0.0000 0.0000 Mn
0.5000 0.2667 0.7667 Mn
0.5000 0.5000 0.5000 Mn
0.5000 0.7333 0.2333 Mn
0.7333 0.5000 0.2333 Mn
0.0000 0.3621 0.3621 Fe
0.0000 0.6379 0.6379 Fe
0.3621 0.0000 0.3621 Fe
0.6379 0.0000 0.6379 Fe
```

---

Structure and computed powder diffractogram of CeFeNi4 (a structure optimized by DFT (GGA-PBE); Cu Kα, 1.54184 Å).
Kinematic intensities with the Lorentz-polarization factor, no thermal factor.

Principal peaks in the range 2θ = 5–70°, sorted by position:
| two_theta | intensity |
| --- | --- |
| 30.3 | 49 |
| 36.3 | 29 |
| 42.2 | 36 |
| 42.8 | 100 |
| 44.6 | 29 |
| 48.0 | 9 |
| 58.8 | 14 |
| 61.6 | 13 |
| 63.1 | 21 |
| 69.8 | 22 |

Cell and atoms:
```
CeFeNi4
1.0
4.9502 0.0000 0.0000
-2.4751 4.2870 0.0000
0.0000 0.0000 4.0617
Ce Fe Ni
1 1 4
Direct
0.0000 0.0000 0.0000 Ce
0.3333 0.6667 0.0000 Fe
0.9999 0.5000 0.5000 Ni
0.5000 0.0001 0.5000 Ni
0.5000 0.5000 0.5000 Ni
0.6667 0.3333 0.0000 Ni
```